This entry pairs a crystal structure of Yb7InNi4Ge12 with its simulated powder X-ray diffraction pattern. Radiation: Cu Kα (weighted mean of Kα1 and Kα2). Structure: a structure optimized by DFT (PBE).
Intensities are scaled so that the largest is 100.

Crystal structure
```
data_Yb7InNi4Ge12
_chemical_formula_sum 'Yb7 In1 Ni4 Ge12'
_symmetry_space_group_name_H-M 'P 4/m'
_symmetry_Int_Tables_number 83
_cell_length_a 10.4537
_cell_length_b 10.4537
_cell_length_c 4.2551
_cell_angle_alpha 90.00
_cell_angle_beta 90.00
_cell_angle_gamma 90.00
loop_
_symmetry_equiv_pos_as_xyz
'x,y,z'
'-x,-y,-z'
'-y,x,z'
'y,-x,-z'
'-x,-y,z'
'x,y,-z'
'y,-x,z'
'-y,x,-z'
loop_
_atom_site_label
_atom_site_fract_x
_atom_site_fract_y
_atom_site_fract_z
_atom_site_occupancy
Yb1 0.0000 0.0000 0.0000 1
Yb2 0.0000 0.5000 0.5000 1
Yb3 0.3240 0.3271 0.5000 1
In1 0.5000 0.5000 0.0000 1
Ni1 0.1149 0.7225 0.0000 1
Ge1 0.0612 0.8069 0.5000 1
Ge2 0.1151 0.2863 0.0000 1
Ge3 0.2113 0.5125 0.0000 1
```

Top 10 peaks for 2θ = 15–90°, low angle first:
| 2θ (°) | intensity |
| --- | --- |
| 33.23 | 20 |
| 34.35 | 100 |
| 37.54 | 29 |
| 38.51 | 23 |
| 42.49 | 25 |
| 46.80 | 11 |
| 55.63 | 14 |
| 58.68 | 13 |
| 67.02 | 11 |
| 72.52 | 11 |